# 1
Diffraction record for Rb2Ce2Fe4O11. The X-ray powder pattern is simulated, not measured: it uses a cell relaxed with GGA+U and Cu Kα.
No peak broadening, texture or thermal motion is included.

The 12 most intense peaks (2θ from 5° to 70°), by angle:
2θ/deg	intensity	(hkl)
11.24	13	0 2 0
22.60	8	0 4 0
31.95	100	2 4 0
32.18	52	0 4 1
39.50	18	2 4 1
45.48	17	4 0 0
46.16	29	0 0 2
47.48	4	2 6 1
56.80	19	4 4 1
57.23	44	2 8 1
66.81	17	4 0 2
67.33	8	0 8 2

Crystal structure
abc: 7.977 15.749 3.930
angles: 90.00 90.00 90.00
Space group Cmmm (No. 65)
Inequivalent atoms, fractional coordinates:
Rb (0.250, 0.250, 0.000) (multiplicity 4)
Ce (0.235, 0.000, 0.000) (multiplicity 4)
Fe (0.000, 0.125, 0.500) (multiplicity 4)
Fe (0.000, 0.370, 0.500) (multiplicity 4)
O (0.000, 0.000, 0.500) (multiplicity 2)
O (0.000, 0.105, 0.000) (multiplicity 4)
O (0.000, 0.250, 0.500) (multiplicity 4)
O (0.000, 0.413, 0.000) (multiplicity 4)
O (0.237, 0.407, 0.500) (multiplicity 8)


# 2
Diffraction record for Ce2FeSe2O2. The X-ray powder pattern is simulated, not measured: it uses a cell relaxed with GGA+U and Cu Kα.
No peak broadening, texture or thermal motion is included.

The 12 most intense peaks (2θ from 5° to 70°), by angle:
2θ/deg	intensity	(hkl)
26.80	11	0 4 3
28.51	22	1 3 1
29.92	10	1 3 2
31.10	47	0 0 6
32.14	100	1 3 3
32.95	20	0 6 0
38.47	9	1 3 5
45.94	13	0 6 6
46.23	20	2 0 0
55.99	22	1 3 9
56.77	17	2 0 6
58.32	10	1 9 3

Crystal structure
abc: 3.927 16.312 17.253
angles: 90.00 90.00 90.00
Space group Cmc2_1 (No. 36)
Inequivalent atoms, fractional coordinates:
Ce (0.000, 0.072, 0.000) (multiplicity 4)
Ce (0.000, 0.077, 0.335) (multiplicity 4)
Ce (0.000, 0.226, 0.824) (multiplicity 4)
Ce (0.000, 0.233, 0.508) (multiplicity 4)
Fe (0.000, 0.366, 0.667) (multiplicity 4)
Fe (0.000, 0.413, 0.139) (multiplicity 4)
Se (0.000, 0.008, 0.169) (multiplicity 4)
Se (0.000, 0.261, 0.166) (multiplicity 4)
Se (0.000, 0.417, 0.988) (multiplicity 4)
Se (0.000, 0.424, 0.352) (multiplicity 4)
O (0.000, 0.208, 0.962) (multiplicity 4)
O (0.000, 0.214, 0.372) (multiplicity 4)
O (0.000, 0.368, 0.782) (multiplicity 4)
O (0.000, 0.372, 0.551) (multiplicity 4)


# 3
Diffraction record for Ce2FeSe2O2. The X-ray powder pattern is simulated, not measured: it uses a cell relaxed with GGA+U and Cu Kα.
No peak broadening, texture or thermal motion is included.

The 12 most intense peaks (2θ from 5° to 70°), by angle:
2θ/deg	intensity	(hkl)
26.07	25	1 1 -1
29.44	30	0 0 2
31.10	100	1 1 1
31.59	60	4 0 -1
35.95	33	3 1 0
36.24	68	3 1 -2
38.23	16	2 0 -3
46.51	26	0 2 0
52.44	20	5 1 0
56.23	13	1 1 3
57.32	22	4 2 -1
62.58	16	7 1 -3

Crystal structure
abc: 11.444 3.905 7.120
angles: 90.00 121.56 90.00
Space group C2/m (No. 12)
Inequivalent atoms, fractional coordinates:
Ce (0.188, 0.000, 0.239) (multiplicity 4)
Fe (0.000, 0.000, 0.500) (multiplicity 2)
Se (0.060, 0.500, 0.820) (multiplicity 4)
O (0.198, 0.000, 0.584) (multiplicity 4)


# 4
Diffraction record for Ce2Fe2Se2O3. The X-ray powder pattern is simulated, not measured: it uses a cell relaxed with GGA+U and Cu Kα.
No peak broadening, texture or thermal motion is included.

The 12 most intense peaks (2θ from 5° to 70°), by angle:
2θ/deg	intensity	(hkl)
26.12	28	1 0 3
31.04	22	1 1 0
32.49	100	1 0 5
36.63	24	1 1 4
44.47	33	2 0 0
49.20	8	1 0 9
50.24	16	1 1 8
52.30	9	2 1 3
56.14	33	2 1 5
58.84	7	1 1 10
64.71	10	2 2 0
68.03	10	2 0 10

Crystal structure
abc: 4.075 4.075 18.711
angles: 90.00 90.00 90.00
Space group I4/mmm (No. 139)
Inequivalent atoms, fractional coordinates:
Ce (0.000, 0.000, 0.186) (multiplicity 4)
Fe (0.000, 0.500, 0.000) (multiplicity 4)
Se (0.000, 0.000, 0.399) (multiplicity 4)
O (0.000, 0.000, 0.000) (multiplicity 2)
O (0.000, 0.500, 0.250) (multiplicity 4)


# 5
Diffraction record for Ce4FeSe6O. The X-ray powder pattern is simulated, not measured: it uses a cell relaxed with GGA+U and Cu Kα.
No peak broadening, texture or thermal motion is included.

The 12 most intense peaks (2θ from 5° to 70°), by angle:
2θ/deg	intensity	(hkl)
25.06	56	2 0 1
25.21	16	0 0 2
31.45	59	2 1 1
33.45	100	2 0 2
35.12	63	3 0 1
37.91	62	2 2 0
38.59	22	2 1 2
44.33	29	2 0 3
46.02	19	4 0 1
52.63	16	4 1 1
58.31	14	3 3 0
63.15	18	3 2 3

Crystal structure
abc: 9.4940 9.4940 7.0648
angles: 90.00 90.00 120.00
Space group P6_3mc (No. 186)
Inequivalent atoms, fractional coordinates:
Ce (0.1972, 0.3945, 0.0000) (multiplicity 6)
Ce (0.3333, 0.6667, 0.4431) (multiplicity 2)
Fe (0.0000, 0.0000, 0.1626) (multiplicity 2)
Se (0.0599, 0.5300, 0.7131) (multiplicity 6)
Se (0.1294, 0.2588, 0.3944) (multiplicity 6)
O (0.3333, 0.6667, 0.1080) (multiplicity 2)